For Pm2MnRuO8, DFT lattice parameters and positions (PBE+U) gives the calculated X-ray powder pattern in this record (Cu Kα).
Intensities are scaled so that the largest is 100.

The 10 most intense peaks (5° ≤ 2θ ≤ 70°), sorted by position:
2θ/deg, I_rel
22.82, 21
25.55, 100
27.18, 40
30.28, 20
32.40, 98
32.49, 35
45.38, 19
45.56, 19
49.48, 31
49.66, 29

Cell and atoms:
Unit cell a=4.770 b=4.806 c=6.766 alpha=90.04 beta=90.09 gamma=93.47
Element x y z (fractional)
Pm (0.075, 0.069, 0.241)
Pm (0.925, 0.931, 0.759)
Mn (0.500, 0.500, 0.000)
Ru (0.500, 0.500, 0.500)
O (0.219, 0.219, 0.949)
O (0.228, 0.232, 0.550)
O (0.284, 0.623, 0.253)
O (0.375, 0.718, 0.745)
O (0.625, 0.282, 0.255)
O (0.716, 0.377, 0.747)
O (0.772, 0.768, 0.450)
O (0.781, 0.781, 0.051)